Record 1
Starting from a DFT-relaxed cell (GGA-PBE, Alexandria), the powder XRD pattern of TlHg4Au2 was calculated for Cu Kα.
Neutral-atom scattering factors, no anomalous dispersion.

Peak list (10 most intense, 10° ≤ 2θ ≤ 90°, by angle)
29.93°, d 2.985, rel. 73; 31.01°, d 2.884, rel. 100; 32.80°, d 2.731, rel. 86; 34.12°, d 2.628, rel. 37; 34.70°, d 2.585, rel. 35; 37.77°, d 2.382, rel. 23; 39.31°, d 2.292, rel. 36; 40.93°, d 2.205, rel. 28; 41.77°, d 2.163, rel. 57; 43.10°, d 2.099, rel. 29

Structure:
a = 19.3557 Å, b = 4.3252 Å, c = 8.4440 Å
α = 90.00°, β = 90.00°, γ = 90.00°
Space group Pnma (No. 62)
Unique sites:
Tl 0.1402 0.2500 0.0685
Hg 0.0359 0.7500 0.8631
Hg 0.0706 0.2500 0.5189
Hg 0.1847 0.7500 0.7824
Hg 0.1889 0.7500 0.3505
Au 0.0462 0.7500 0.2683
Au 0.2209 0.2500 0.5680


Record 2
Starting from a DFT-relaxed cell (GGA-PBE, Alexandria), the powder XRD pattern of CdHg3 was calculated for Cu Kα.
Neutral-atom scattering factors, no anomalous dispersion.

Peak list (10 most intense, 10° ≤ 2θ ≤ 90°, by angle)
33.16°, d 2.702, rel. 96; 33.77°, d 2.654, rel. 100; 35.23°, d 2.548, rel. 87; 45.33°, d 2.001, rel. 20; 50.68°, d 1.801, rel. 30; 58.67°, d 1.574, rel. 19; 61.90°, d 1.499, rel. 16; 62.29°, d 1.491, rel. 17; 62.68°, d 1.482, rel. 16; 85.16°, d 1.139, rel. 14

Structure:
a = 3.2796 Å, b = 5.0958 Å, c = 6.4000 Å
α = 90.00°, β = 103.71°, γ = 90.00°
Space group P2/m (No. 10)
Unique sites:
Cd 0.0000 0.0000 0.0000
Hg 0.0000 0.0000 0.5000
Hg 0.4350 0.5000 0.2452


Record 3
Starting from a DFT-relaxed cell (GGA-PBE, Alexandria), the powder XRD pattern of NdTh2P was calculated for Cu Kα.
Neutral-atom scattering factors, no anomalous dispersion.

Peak list (10 most intense, 10° ≤ 2θ ≤ 90°, by angle)
26.78°, d 3.328, rel. 35; 27.99°, d 3.188, rel. 39; 29.42°, d 3.036, rel. 74; 30.90°, d 2.894, rel. 100; 41.43°, d 2.180, rel. 23; 46.96°, d 1.935, rel. 40; 49.45°, d 1.843, rel. 16; 52.32°, d 1.748, rel. 18; 55.56°, d 1.654, rel. 36; 57.28°, d 1.608, rel. 18

Structure:
a = 3.8695 Å, b = 3.8695 Å, c = 28.6942 Å
α = 90.00°, β = 90.00°, γ = 120.00°
Space group R3m (No. 160, hexagonal axes)
Unique sites:
Nd 0.0000 0.0000 0.0000
Th 0.0000 0.0000 0.2291
Th 0.0000 0.0000 0.4390
P 0.0000 0.0000 0.8336


Record 4
Starting from a DFT-relaxed cell (GGA-PBE, Alexandria), the powder XRD pattern of SrLiGa2Ir was calculated for Cu Kα.
Neutral-atom scattering factors, no anomalous dispersion.

Peak list (10 most intense, 10° ≤ 2θ ≤ 90°, by angle)
17.15°, d 5.170, rel. 21; 21.76°, d 4.084, rel. 100; 32.88°, d 2.724, rel. 84; 33.36°, d 2.686, rel. 70; 40.58°, d 2.223, rel. 55; 45.42°, d 1.997, rel. 27; 46.51°, d 1.952, rel. 28; 48.55°, d 1.875, rel. 20; 53.18°, d 1.722, rel. 43; 61.35°, d 1.511, rel. 21

Structure:
a = 4.4459 Å, b = 4.4459 Å, c = 10.3399 Å
α = 90.00°, β = 90.00°, γ = 90.00°
Space group I-4m2 (No. 119)
Unique sites:
Sr 0.0000 0.0000 0.0000
Li 0.0000 0.5000 0.7500
Ga 0.0000 0.0000 0.3634
Ir 0.0000 0.5000 0.2500


Record 5
Starting from a DFT-relaxed cell (GGA-PBE, Alexandria), the powder XRD pattern of SmEr2H8 was calculated for Cu Kα.
Neutral-atom scattering factors, no anomalous dispersion.

Peak list (10 most intense, 10° ≤ 2θ ≤ 90°, by angle)
30.03°, d 2.976, rel. 100; 34.61°, d 2.592, rel. 17; 34.92°, d 2.570, rel. 33; 49.98°, d 1.825, rel. 26; 50.21°, d 1.817, rel. 13; 59.22°, d 1.560, rel. 15; 59.62°, d 1.551, rel. 29; 62.42°, d 1.488, rel. 13; 81.27°, d 1.184, rel. 12; 81.62°, d 1.180, rel. 6

Structure:
a = 3.6327 Å, b = 5.1831 Å, c = 10.9068 Å
α = 90.00°, β = 90.00°, γ = 90.00°
Space group Immm (No. 71)
Unique sites:
Sm 0.0000 0.0000 0.0000
Er 0.0000 0.0000 0.3305
H 0.0000 0.2171 0.5000
H 0.0000 0.2658 0.1653
H 0.0000 0.5000 0.3432


Record 6
Starting from a DFT-relaxed cell (GGA-PBE, Alexandria), the powder XRD pattern of Ho2Tc3Ni was calculated for Cu Kα.
Neutral-atom scattering factors, no anomalous dispersion.

Peak list (10 most intense, 10° ≤ 2θ ≤ 90°, by angle)
32.89°, d 2.723, rel. 72; 34.53°, d 2.597, rel. 41; 38.51°, d 2.338, rel. 59; 39.95°, d 2.257, rel. 100; 40.65°, d 2.219, rel. 68; 42.30°, d 2.137, rel. 38; 60.84°, d 1.523, rel. 25; 64.53°, d 1.444, rel. 25; 68.98°, d 1.361, rel. 30; 72.83°, d 1.299, rel. 26

Structure:
a = 5.1945 Å, b = 5.1945 Å, c = 13.6821 Å
α = 90.00°, β = 90.00°, γ = 120.00°
Space group R-3m (No. 166, hexagonal axes)
Unique sites:
Ho 0.0000 0.0000 0.1240
Tc 0.0000 0.5000 0.0000
Ni 0.0000 0.0000 0.5000